Computed PXRD pattern
Compound: BaSb12Ru4
Radiation: Cu Ka
Structure: DFT lattice parameters and positions (GGA-PBE)
Neutral-atom scattering factors, no anomalous dispersion.

Structure:
a b c (Å): 9.4332 9.4332 9.4332
angles (deg): 90.00 90.00 90.00
Space group Im-3 (No. 204)
Unique sites:
Ba: 0.0000 0.0000 0.0000 (multiplicity 2)
Sb: 0.0000 0.3440 0.1604 (multiplicity 24)
Ru: 0.2500 0.2500 0.2500 (multiplicity 8)

Peak list (10 most intense, 2θ = 5–70°, by angle)
hkl, 2θ (°), I/Imax
3 0 1, 29.95, 100.0
3 1 2, 35.61, 42.4
4 0 2, 42.87, 23.7
4 2 2, 47.20, 31.2
4 3 1, 49.25, 29.0
5 3 0, 56.92, 11.0
6 0 0, 58.73, 7.2
6 2 0, 62.24, 6.6
6 1 3, 67.32, 17.6
4 4 4, 68.97, 5.9